Structure and calculated XRD peak list of TbAuSeO (the GGA-PBE geometry in OQMD; Cu Kα X-rays).
Lines closer than 0.1° are merged.

```
TbAuSeO
1.0
9.5878 0.0000 0.0000
0.0000 5.6309 0.0000
0.0000 0.0000 5.6513
Tb Au Se O
4 4 4 4
Direct
0.1156 0.2500 0.0000
0.1156 0.7500 0.5000
0.8844 0.2500 0.5000
0.8844 0.7500 0.0000
0.5000 0.0000 0.0009
0.5000 0.0000 0.5009
0.5000 0.5000 0.0009
0.5000 0.5000 0.5009
0.2789 0.2500 0.5008
0.2789 0.7500 0.0008
0.7211 0.2500 0.0008
0.7211 0.7500 0.5008
0.0000 0.0000 0.2500
0.0000 0.0000 0.7500
0.0000 0.5000 0.2500
0.0000 0.5000 0.7500
```

Most intense lines, 2θ from 10° to 80°, sorted by position:
| d/Å | Position (°2θ) | I/Imax | index |
| --- | --- | --- | --- |
| 4.794 | 18.51 | 51.9 | 2 0 0 |
| 3.196 | 27.92 | 41.1 | 3 0 0 |
| 3.066 | 29.12 | 97.1 | 2 1 1 |
| 2.826 | 31.67 | 100.0 | 0 0 2 |
| 2.701 | 33.16 | 81.9 | 1 2 0 |
| 2.494 | 36.01 | 63.1 | 3 1 1 |
| 2.428 | 37.03 | 55.3 | 2 2 0 |
| 2.116 | 42.73 | 44.3 | 3 0 2 |
| 1.953 | 46.51 | 80.1 | 1 2 2 |
| 1.841 | 49.50 | 38.0 | 2 2 2 |
| 1.825 | 49.97 | 33.2 | 4 2 0 |
| 1.587 | 58.14 | 35.0 | 5 0 2 |